The following is a calculated PXRD pattern of K5MoC7N7O. It was derived from the GGA+U geometry in Alexandria, using Cu Kα, 1.54184 Å.
Peak positions follow from Bragg's law for the DFT cell and can differ from measured ones.

Top 10 peaks for 10 to 90 degrees two-theta, in order of falling intensity:
d (Å), 2theta, I_rel, h k l
2.965, 30.1, 100, -1 2 1
6.708, 13.2, 96, 1 0 0
3.869, 23.0, 71, 1 0 -2
2.982, 30.0, 68, 1 -2 2
3.746, 23.8, 62, 1 -2 1
2.999, 29.8, 61, 2 -1 1
2.474, 36.3, 59, 3 -1 0
2.942, 30.4, 51, 2 1 -2
4.719, 18.8, 50, 1 -1 1
2.907, 30.8, 45, 2 -2 1

Cell and atoms:
a = 7.843 Å, b = 7.960 Å, c = 8.258 Å
α = 110.00°, β = 107.80°, γ = 106.87°
Space group P1 (No. 1)
Unique sites:
K (0.000, 0.000, 0.000)
K (0.054, 0.232, 0.595)
K (0.480, 0.730, 0.203)
K (0.556, 0.343, 0.401)
K (0.831, 0.475, 0.041)
Mo (0.309, 0.829, 0.664)
C (0.166, 0.695, 0.805)
C (0.223, 0.553, 0.414)
C (0.266, 0.950, 0.460)
C (0.367, 0.119, 0.883)
C (0.508, 0.721, 0.799)
C (0.603, 0.001, 0.702)
C (0.989, 0.747, 0.519)
N (0.088, 0.627, 0.885)
N (0.169, 0.404, 0.273)
N (0.234, 0.012, 0.349)
N (0.401, 0.280, 0.993)
N (0.613, 0.655, 0.862)
N (0.765, 0.105, 0.736)
N (0.818, 0.697, 0.430)
O (0.714, 0.100, 0.314)